1.
Structure and computed powder XRD pattern of SbSI (a structure optimized by DFT (PBE); Cu Kα X-rays).

Structure:
```
SbSI
1.0
10.8541 0.0000 0.0000
0.0000 4.1326 0.0000
0.0000 0.0000 9.5655
Sb S I
4 4 4
direct
0.1291 0.2500 0.0804
0.3709 0.7500 0.5804
0.6291 0.2500 0.4196
0.8709 0.7500 0.9196
0.0217 0.2500 0.8484
0.4783 0.7500 0.3484
0.5217 0.2500 0.6516
0.9783 0.7500 0.1516
0.1849 0.2500 0.4525
0.3151 0.7500 0.9525
0.6849 0.2500 0.0475
0.8151 0.7500 0.5475
```

Principal peaks in the range 15° ≤ 2θ ≤ 90°, in order of rising 2θ:
Position (°2θ)	Rel. int.	(hkl)
18.6	63	0 0 2
18.8	30	2 0 1
27.1	100	2 1 0
32.6	45	2 0 3
33.1	51	2 1 2
34.2	30	3 1 1
35.6	43	0 1 3
43.8	29	0 2 0

=====

2.
Structure and computed powder XRD pattern of DyHO2 (a structure optimized by DFT (PBE); Cu Kα X-rays).

Structure:
```
DyHO2
1.0
11.1141 0.0000 0.0000
0.0000 3.5484 0.0000
0.0000 0.0000 5.0049
Dy H O
4 4 8
direct
0.1452 0.2500 0.0761
0.3548 0.7500 0.5761
0.6452 0.2500 0.4239
0.8548 0.7500 0.9239
0.0898 0.7500 0.6185
0.4102 0.2500 0.1185
0.5898 0.7500 0.8815
0.9102 0.2500 0.3815
0.0613 0.7500 0.8076
0.1932 0.7500 0.3196
0.3068 0.2500 0.8196
0.4387 0.2500 0.3076
0.5613 0.7500 0.6924
0.6932 0.7500 0.1804
0.8068 0.2500 0.6804
0.9387 0.2500 0.1924
```

Principal peaks in the range 15° ≤ 2θ ≤ 90°, in order of rising 2θ:
Position (°2θ)	Rel. int.	(hkl)
19.5	98	1 0 1
23.9	36	2 0 1
29.9	73	2 1 0
30.0	63	3 0 1
31.9	100	1 1 1
32.2	34	4 0 0
51.0	31	3 1 2
51.9	40	5 1 1

=====

3.
Structure and computed powder XRD pattern of Nb5Ga4 (a structure optimized by DFT (PBE); Cu Kα X-rays).

Structure:
```
Nb5Ga4
1.0
8.0131 0.0000 0.0000
-4.0066 6.9396 0.0000
0.0000 0.0000 5.4821
Nb Ga
10 8
direct
0.0000 0.2819 0.2500
0.0000 0.7181 0.7500
0.2819 0.0000 0.2500
0.2819 0.2819 0.7500
0.3333 0.6667 0.0000
0.3333 0.6667 0.5000
0.6667 0.3333 0.0000
0.6667 0.3333 0.5000
0.7181 0.0000 0.7500
0.7181 0.7181 0.2500
0.0000 0.0000 0.0000
0.0000 0.0000 0.5000
0.0000 0.3818 0.7500
0.0000 0.6182 0.2500
0.3818 0.0000 0.7500
0.3818 0.3818 0.2500
0.6182 0.0000 0.2500
0.6182 0.6182 0.7500
```

Principal peaks in the range 15° ≤ 2θ ≤ 90°, in order of rising 2θ:
Position (°2θ)	Rel. int.	(hkl)
38.0	44	2 1 1
38.9	88	3 0 0
39.8	100	1 1 2
50.2	13	3 1 1
56.9	27	2 2 2
61.9	10	2 1 3
71.1	23	4 1 2
81.7	19	3 0 4